(1)
Ti3Cu3Te2O16: calculated X-ray powder pattern (copper Kα), based on a DFT-relaxed cell (PBE, the Materials Project).
Lines closer than 0.1° are merged.

Peak list (10 most intense, 15 to 90 degrees two-theta, sorted by position)
h k l, two_theta, I/Imax
1 1 -1, 19.46, 100.0
1 1 1, 19.69, 71.8
2 0 1, 19.89, 42.4
1 1 -2, 25.55, 27.8
1 1 -3, 33.48, 23.3
3 1 -2, 35.35, 30.6
0 2 2, 35.58, 29.8
2 2 -1, 35.81, 29.8
3 1 2, 36.08, 50.9
6 2 0, 62.17, 30.3

Structure:
Cell: 10.3285 6.0072 9.3017 Å, 90.00 91.50 90.00°
Space group Cm (No. 8)
One atom of each set of equivalent atoms:
Ti 0.0000 0.0000 0.0000 (multiplicity 2)
Ti 0.0744 0.2511 0.4963 (multiplicity 4)
Cu 0.2481 0.2542 0.9974 (multiplicity 4)
Cu 0.3310 0.0000 0.5031 (multiplicity 2)
Te 0.3228 0.5000 0.7237 (multiplicity 2)
Te 0.4910 0.0000 0.2178 (multiplicity 2)
O 0.0022 0.5000 0.6011 (multiplicity 2)
O 0.0698 0.2610 0.1071 (multiplicity 4)
O 0.1386 0.5000 0.3628 (multiplicity 2)
O 0.1590 0.0000 0.4116 (multiplicity 2)
O 0.1594 0.0000 0.9059 (multiplicity 2)
O 0.1807 0.5000 0.8635 (multiplicity 2)
O 0.2420 0.2687 0.6088 (multiplicity 4)
O 0.3287 0.0000 0.1114 (multiplicity 2)
O 0.3318 0.5000 0.0978 (multiplicity 2)
O 0.4050 0.2854 0.8588 (multiplicity 4)
O 0.4303 0.2240 0.3564 (multiplicity 4)
O 0.4811 0.5000 0.6030 (multiplicity 2)

(2)
Ce2Ge4Pt7: calculated X-ray powder pattern (copper Kα), based on a DFT-relaxed cell (PBE, the Materials Project).
Lines closer than 0.1° are merged.

Peak list (10 most intense, 15 to 90 degrees two-theta, sorted by position)
h k l, two_theta, I/Imax
1 1 3, 32.10, 34.1
2 1 3, 33.05, 53.4
6 1 0, 34.53, 100.0
4 1 3, 36.58, 63.6
7 0 3, 39.06, 43.2
8 0 3, 42.92, 43.3
0 2 0, 44.08, 54.4
8 1 2, 45.07, 28.9
2 1 5, 45.82, 15.5
8 2 3, 63.22, 22.8

Structure:
Cell: 20.1189 4.1084 11.5926 Å, 90.00 90.00 90.00°
Space group Pnma (No. 62)
One atom of each set of equivalent atoms:
Ce 0.0281 0.2500 0.2431 (multiplicity 4)
Ce 0.2194 0.2500 0.0140 (multiplicity 4)
Ge 0.0856 0.7500 0.4229 (multiplicity 4)
Ge 0.0868 0.7500 0.0641 (multiplicity 4)
Ge 0.0949 0.2500 0.7531 (multiplicity 4)
Ge 0.2442 0.2500 0.2929 (multiplicity 4)
Pt 0.0349 0.2500 0.5631 (multiplicity 4)
Pt 0.0414 0.2500 0.9525 (multiplicity 4)
Pt 0.1299 0.7500 0.6206 (multiplicity 4)
Pt 0.1370 0.7500 0.8708 (multiplicity 4)
Pt 0.1515 0.7500 0.2435 (multiplicity 4)
Pt 0.1619 0.2500 0.4485 (multiplicity 4)
Pt 0.2171 0.2500 0.6785 (multiplicity 4)

(3)
TaCr3S8: calculated X-ray powder pattern (copper Kα), based on a DFT-relaxed cell (PBE, the Materials Project).
Lines closer than 0.1° are merged.

Peak list (10 most intense, 15 to 90 degrees two-theta, sorted by position)
h k l, two_theta, I/Imax
0 0 1, 15.75, 100.0
2 0 0, 18.33, 18.9
3 1 0, 30.58, 38.9
4 0 -1, 31.04, 20.1
4 0 0, 37.16, 78.6
1 1 2, 40.18, 12.8
5 1 -2, 41.32, 11.7
2 2 2, 52.92, 17.6
0 4 0, 53.07, 8.7
6 2 -2, 54.20, 16.0

Structure:
Cell: 11.6533 6.9030 6.7906 Å, 90.00 123.84 90.00°
Space group C2/m (No. 12)
One atom of each set of equivalent atoms:
Ta 0.0000 0.0000 0.0000 (multiplicity 2)
Cr 0.0000 0.0000 0.5000 (multiplicity 2)
Cr 0.2500 0.2500 0.0000 (multiplicity 4)
S 0.0031 0.2504 0.7469 (multiplicity 8)
S 0.2444 0.0000 0.7557 (multiplicity 4)
S 0.2467 0.5000 0.7527 (multiplicity 4)